No. 1
Starting from a GGA-PBE-relaxed structure, the X-ray diffraction stick pattern of Rb2LiYF6 was calculated for Cu Kα, 1.54184 Å.

Atomic structure:
```
data_Rb2LiYF6
_chemical_formula_sum 'Rb8 Li4 Y4 F24'
_cell_length_a 8.7133
_cell_length_b 8.7133
_cell_length_c 8.7133
_cell_angle_alpha 90.00
_cell_angle_beta 90.00
_cell_angle_gamma 90.00
_space_group_name_H-M_alt 'F m -3 m'
_space_group_IT_number 225
_space_group_name_Hall '-F 4 2 3'
loop_
_atom_site_label
_atom_site_type_symbol
_atom_site_fract_x
_atom_site_fract_y
_atom_site_fract_z
Rb1 Rb 0.2500 0.2500 0.2500
Li1 Li 0.0000 0.0000 0.0000
Y1 Y 0.0000 0.0000 0.5000
F1 F 0.0000 0.0000 0.2482
```

Principal peaks in the range 2θ from 15° to 90°, sorted by position:
- 17.63 deg, rel. 31, (1 1 1)
- 28.98 deg, rel. 100, (2 2 0)
- 34.13 deg, rel. 18, (3 1 1)
- 35.70 deg, rel. 28, (2 2 2)
- 41.45 deg, rel. 52, (4 0 0)
- 51.37 deg, rel. 41, (4 2 2)
- 60.07 deg, rel. 32, (4 4 0)
- 68.05 deg, rel. 18, (6 2 0)
- 75.61 deg, rel. 10, (4 4 4)
- 82.92 deg, rel. 21, (6 4 2)

No. 2
Starting from a GGA-PBE-relaxed structure, the X-ray diffraction stick pattern of As12S13 was calculated for Cu Kα, 1.54184 Å.

Atomic structure:
```
data_As12S13
_chemical_formula_sum 'As24 S26'
_cell_length_a 8.1849
_cell_length_b 9.2531
_cell_length_c 23.2459
_cell_angle_alpha 88.29
_cell_angle_beta 89.43
_cell_angle_gamma 87.24
_space_group_name_H-M_alt 'P 1'
_space_group_IT_number 1
_space_group_name_Hall 'P 1'
loop_
_atom_site_label
_atom_site_type_symbol
_atom_site_fract_x
_atom_site_fract_y
_atom_site_fract_z
As1 As 0.0000 0.0000 0.0000
As2 As 0.0000 0.0756 0.3159
As3 As 0.0554 0.0757 0.6617
As4 As 0.2103 0.6134 0.4547
As5 As 0.2856 0.5050 0.6634
As6 As 0.3044 0.8842 0.7225
As7 As 0.3285 0.0602 0.9450
As8 As 0.3443 0.1559 0.7361
As9 As 0.3781 0.8650 0.3316
As10 As 0.4666 0.3640 0.5956
As11 As 0.4691 0.8738 0.8788
As12 As 0.4842 0.5933 0.1493
As13 As 0.5731 0.1399 0.6586
As14 As 0.5913 0.4111 0.7506
As15 As 0.6275 0.3462 0.1706
As16 As 0.6408 0.8480 0.3782
As17 As 0.6852 0.0815 0.3075
As18 As 0.6906 0.2963 0.0682
As19 As 0.7494 0.8923 0.0581
As20 As 0.7865 0.4296 0.3944
As21 As 0.8227 0.5666 0.8011
As22 As 0.8564 0.9882 0.2342
As23 As 0.8634 0.1692 0.4284
As24 As 0.8860 0.9683 0.5946
S1 S 0.0355 0.9364 0.7528
S2 S 0.0380 0.3532 0.4223
S3 S 0.0428 0.4408 0.8089
S4 S 0.0446 0.5968 0.5369
S5 S 0.0505 0.0805 0.8137
S6 S 0.0577 0.3155 0.2868
S7 S 0.1689 0.6834 0.6016
S8 S 0.2609 0.9317 0.0228
S9 S 0.3139 0.6015 0.2274
S10 S 0.3216 0.0555 0.4093
S11 S 0.3904 0.7419 0.8038
S12 S 0.4422 0.6203 0.3030
S13 S 0.4478 0.6011 0.4844
S14 S 0.4681 0.2179 0.1112
S15 S 0.4908 0.1994 0.8200
S16 S 0.5357 0.9959 0.4475
S17 S 0.5583 0.5472 0.6468
S18 S 0.6535 0.0271 0.8392
S19 S 0.6638 0.5237 0.8881
S20 S 0.6670 0.7182 0.9240
S21 S 0.6847 0.7309 0.1879
S22 S 0.7638 0.2524 0.7074
S23 S 0.8361 0.4186 0.2933
S24 S 0.8531 0.7222 0.1216
S25 S 0.8840 0.0932 0.0881
S26 S 0.9455 0.1504 0.5370
```

Principal peaks in the range 2θ from 15° to 90°, sorted by position:
- 15.14 deg, rel. 65, (0 1 -3)
- 15.31 deg, rel. 100, (1 -1 1)
- 15.87 deg, rel. 52, (1 1 2)
- 16.23 deg, rel. 99, (1 1 -2)
- 16.58 deg, rel. 33, (-1 1 2)
- 18.66 deg, rel. 64, (1 0 4)
- 22.10 deg, rel. 30, (0 2 3)
- 24.42 deg, rel. 35, (1 -1 5)
- 30.50 deg, rel. 41, (2 2 3)
- 32.00 deg, rel. 30, (2 0 -6)